Structure and theoretical powder XRD pattern of SmP3Rh3 (a cell relaxed with GGA-PBE; CuKα).
Peak positions follow from Bragg's law for the DFT cell and can differ from measured ones.

Crystal structure
```
data_SmP3Rh3
_chemical_formula_sum 'Sm6 P18 Rh18'
_cell_length_a 6.7344
_cell_length_b 6.7344
_cell_length_c 19.8013
_cell_angle_alpha 90.00
_cell_angle_beta 90.00
_cell_angle_gamma 120.00
_symmetry_space_group_name_H-M 'R -3'
_symmetry_Int_Tables_number 148
_symmetry_space_group_name_Hall '-R 3'
loop_
_atom_site_label
_atom_site_type_symbol
_atom_site_fract_x
_atom_site_fract_y
_atom_site_fract_z
_atom_site_occupancy
Sm1 Sm 0.0000 0.0000 0.1664 1
P1 P 0.0027 0.6830 0.5915 1
Rh1 Rh 0.0038 0.6611 0.3787 1
```

Main lines, in order of falling intensity (2θ from 5° to 70°):
29.8 deg, rel. 100, hkl 2 -1 3; 38.2 deg, rel. 65, hkl 1 1 6; 46.7 deg, rel. 51, hkl 3 0 0; 63.9 deg, rel. 27, hkl 3 0 9; 41.0 deg, rel. 17, hkl 0 0 9; 56.4 deg, rel. 16, hkl 2 2 3; 61.9 deg, rel. 15, hkl 4 -2 6; 15.8 deg, rel. 15, hkl 1 0 1; 49.5 deg, rel. 13, hkl 1 1 9; 17.6 deg, rel. 12, hkl 0 1 2

Structure and theoretical powder XRD pattern of Sm3SnP2Rh9 (a cell relaxed with GGA-PBE; CuKα).
Peak positions follow from Bragg's law for the DFT cell and can differ from measured ones.

Crystal structure
```
data_Sm3SnP2Rh9
_chemical_formula_sum 'Sm3 Sn1 P2 Rh9'
_cell_length_a 6.0905
_cell_length_b 6.0905
_cell_length_c 9.2781
_cell_angle_alpha 90.00
_cell_angle_beta 90.00
_cell_angle_gamma 120.00
_symmetry_space_group_name_H-M 'P -3 m 1'
_symmetry_Int_Tables_number 164
_symmetry_space_group_name_Hall '-P 3 2"'
loop_
_atom_site_label
_atom_site_type_symbol
_atom_site_fract_x
_atom_site_fract_y
_atom_site_fract_z
_atom_site_occupancy
Sm1 Sm 0.0000 0.0000 0.0000 1
Sm2 Sm 0.3333 0.6667 0.7133 1
Sn1 Sn 0.0000 0.0000 0.5000 1
P1 P 0.3333 0.6667 0.1588 1
Rh1 Rh 0.0000 0.5000 0.0000 1
Rh2 Rh 0.1506 0.3012 0.2692 1
```

Main lines, in order of falling intensity (2θ from 5° to 70°):
39.3 deg, rel. 100, hkl 2 0 2; 35.4 deg, rel. 81, hkl 0 2 1; 45.2 deg, rel. 30, hkl 2 0 3; 60.8 deg, rel. 27, hkl 2 2 0; 9.5 deg, rel. 25, hkl 0 0 1; 38.8 deg, rel. 25, hkl 0 0 4; 61.1 deg, rel. 18, hkl 0 2 5; 28.9 deg, rel. 16, hkl 0 0 3; 49.8 deg, rel. 12, hkl 1 2 2; 52.5 deg, rel. 11, hkl 0 2 4

Structure and theoretical powder XRD pattern of Sm2UP3Rh12 (a cell relaxed with GGA-PBE; CuKα).
Peak positions follow from Bragg's law for the DFT cell and can differ from measured ones.

Crystal structure
```
data_Sm2UP3Rh12
_chemical_formula_sum 'Sm6 U3 P9 Rh36'
_cell_length_a 8.2307
_cell_length_b 8.2307
_cell_length_c 16.8234
_cell_angle_alpha 90.00
_cell_angle_beta 90.00
_cell_angle_gamma 120.00
_symmetry_space_group_name_H-M 'R -3 m'
_symmetry_Int_Tables_number 166
_symmetry_space_group_name_Hall '-R 3 2"'
loop_
_atom_site_label
_atom_site_type_symbol
_atom_site_fract_x
_atom_site_fract_y
_atom_site_fract_z
_atom_site_occupancy
Sm1 Sm 0.0000 0.0000 0.0986 1
U1 U 0.0000 0.0000 0.5000 1
P1 P 0.0000 0.5000 0.0000 1
Rh1 Rh 0.0133 0.5067 0.8659 1
Rh2 Rh 0.0478 0.5239 0.3595 1
```

Main lines, in order of falling intensity (2θ from 5° to 70°):
44.0 deg, rel. 100, hkl 2 2 0; 32.9 deg, rel. 88, hkl 0 2 4; 35.0 deg, rel. 56, hkl 1 2 2; 50.4 deg, rel. 52, hkl 2 0 8; 29.4 deg, rel. 38, hkl 0 1 5; 26.9 deg, rel. 27, hkl 1 1 3; 69.1 deg, rel. 19, hkl 0 4 8; 36.7 deg, rel. 19, hkl 2 0 5; 39.7 deg, rel. 18, hkl 2 1 4; 63.2 deg, rel. 17, hkl 2 3 5

Structure and theoretical powder XRD pattern of Sm3ZnP2Rh9 (a cell relaxed with GGA-PBE; CuKα).
Peak positions follow from Bragg's law for the DFT cell and can differ from measured ones.

Crystal structure
```
data_Sm3ZnP2Rh9
_chemical_formula_sum 'Sm3 Zn1 P2 Rh9'
_cell_length_a 6.2388
_cell_length_b 6.2388
_cell_length_c 8.1174
_cell_angle_alpha 90.00
_cell_angle_beta 90.00
_cell_angle_gamma 120.00
_symmetry_space_group_name_H-M 'P -3 m 1'
_symmetry_Int_Tables_number 164
_symmetry_space_group_name_Hall '-P 3 2"'
loop_
_atom_site_label
_atom_site_type_symbol
_atom_site_fract_x
_atom_site_fract_y
_atom_site_fract_z
_atom_site_occupancy
Sm1 Sm 0.0000 0.0000 0.0000 1
Sm2 Sm 0.3333 0.6667 0.6513 1
Zn1 Zn 0.0000 0.0000 0.5000 1
P1 P 0.3333 0.6667 0.1635 1
Rh1 Rh 0.0000 0.5000 0.0000 1
Rh2 Rh 0.1649 0.3297 0.3077 1
```

Main lines, in order of falling intensity (2θ from 5° to 70°):
35.0 deg, rel. 100, hkl 0 2 1; 40.1 deg, rel. 97, hkl 2 0 2; 33.1 deg, rel. 34, hkl 0 0 3; 59.2 deg, rel. 31, hkl 2 2 0; 56.7 deg, rel. 30, hkl 0 2 4; 69.6 deg, rel. 27, hkl 0 0 6; 67.3 deg, rel. 11, hkl 2 0 5; 27.5 deg, rel. 9, hkl 0 1 2; 28.6 deg, rel. 7, hkl 1 1 0; 47.9 deg, rel. 4, hkl 1 0 4

Structure and theoretical powder XRD pattern of SnP2Rh2 (a cell relaxed with GGA-PBE; CuKα).
Peak positions follow from Bragg's law for the DFT cell and can differ from measured ones.

Crystal structure
```
data_SnP2Rh2
_chemical_formula_sum 'Sn2 P4 Rh4'
_cell_length_a 4.1985
_cell_length_b 4.1985
_cell_length_c 9.2405
_cell_angle_alpha 90.00
_cell_angle_beta 90.00
_cell_angle_gamma 90.00
_symmetry_space_group_name_H-M 'I 4/m m m'
_symmetry_Int_Tables_number 139
_symmetry_space_group_name_Hall '-I 4 2'
loop_
_atom_site_label
_atom_site_type_symbol
_atom_site_fract_x
_atom_site_fract_y
_atom_site_fract_z
_atom_site_occupancy
Sn1 Sn 0.0000 0.0000 0.0000 1
P1 P 0.0000 0.0000 0.3792 1
Rh1 Rh 0.0000 0.5000 0.2500 1
```

Main lines, in order of falling intensity (2θ from 5° to 70°):
36.0 deg, rel. 100, hkl 1 1 2; 43.1 deg, rel. 41, hkl 2 0 0; 36.2 deg, rel. 23, hkl 1 0 3; 59.5 deg, rel. 16, hkl 2 0 4; 23.3 deg, rel. 14, hkl 1 0 1; 68.7 deg, rel. 14, hkl 1 1 6; 62.6 deg, rel. 13, hkl 2 2 0; 39.0 deg, rel. 13, hkl 0 0 4; 57.5 deg, rel. 12, hkl 2 1 3; 19.2 deg, rel. 9, hkl 0 0 2

Structure and theoretical powder XRD pattern of Sr2P7Rh12 (a cell relaxed with GGA-PBE; CuKα).
Peak positions follow from Bragg's law for the DFT cell and can differ from measured ones.

Crystal structure
```
data_Sr2P7Rh12
_chemical_formula_sum 'Sr2 P7 Rh12'
_cell_length_a 9.6926
_cell_length_b 9.6926
_cell_length_c 3.8882
_cell_angle_alpha 90.00
_cell_angle_beta 90.00
_cell_angle_gamma 120.00
_symmetry_space_group_name_H-M 'P -3'
_symmetry_Int_Tables_number 147
_symmetry_space_group_name_Hall '-P 3'
loop_
_atom_site_label
_atom_site_type_symbol
_atom_site_fract_x
_atom_site_fract_y
_atom_site_fract_z
_atom_site_occupancy
Sr1 Sr 0.3333 0.6667 0.2471 1
P1 P 0.0000 0.0000 0.0000 1
P2 P 0.1117 0.4009 0.7456 1
Rh1 Rh 0.0604 0.6188 0.7487 1
Rh2 Rh 0.1101 0.8525 0.2486 1
```

Main lines, in order of falling intensity (2θ from 5° to 70°):
36.6 deg, rel. 100, hkl 1 2 1; 46.7 deg, rel. 17, hkl 0 0 2; 49.8 deg, rel. 17, hkl 4 1 0; 47.2 deg, rel. 16, hkl 2 3 0; 45.4 deg, rel. 15, hkl 4 -3 1; 28.1 deg, rel. 13, hkl 1 2 0; 68.6 deg, rel. 8, hkl 2 3 2; 39.7 deg, rel. 8, hkl 0 3 1; 18.3 deg, rel. 7, hkl 1 1 0; 63.3 deg, rel. 7, hkl 6 -2 1

Structure and theoretical powder XRD pattern of Sr2P6Rh7 (a cell relaxed with GGA-PBE; CuKα).
Peak positions follow from Bragg's law for the DFT cell and can differ from measured ones.

Crystal structure
```
data_Sr2P6Rh7
_chemical_formula_sum 'Sr4 P12 Rh14'
_cell_length_a 11.1904
_cell_length_b 11.1904
_cell_length_c 4.1343
_cell_angle_alpha 90.00
_cell_angle_beta 90.00
_cell_angle_gamma 90.00
_symmetry_space_group_name_H-M 'P -4 21 m'
_symmetry_Int_Tables_number 113
_symmetry_space_group_name_Hall 'P -4 2ab'
loop_
_atom_site_label
_atom_site_type_symbol
_atom_site_fract_x
_atom_site_fract_y
_atom_site_fract_z
_atom_site_occupancy
Sr1 Sr 0.1622 0.3378 0.2509 1
P1 P 0.0721 0.5721 0.7341 1
P2 P 0.1108 0.8577 0.2242 1
Rh1 Rh 0.0000 0.0000 0.5000 1
Rh2 Rh 0.0366 0.7762 0.7452 1
Rh3 Rh 0.1526 0.6526 0.2366 1
```

Main lines, in order of falling intensity (2θ from 5° to 70°):
32.3 deg, rel. 100, hkl 3 0 1; 46.9 deg, rel. 26, hkl 5 1 1; 39.7 deg, rel. 23, hkl 4 1 1; 17.7 deg, rel. 22, hkl 2 1 0; 43.8 deg, rel. 20, hkl 0 0 2; 56.6 deg, rel. 20, hkl 3 3 2; 54.6 deg, rel. 18, hkl 6 1 1; 36.2 deg, rel. 18, hkl 3 2 1; 45.9 deg, rel. 17, hkl 4 4 0; 33.0 deg, rel. 17, hkl 4 1 0

Structure and theoretical powder XRD pattern of Sr6PRh (a cell relaxed with GGA-PBE; CuKα).
Peak positions follow from Bragg's law for the DFT cell and can differ from measured ones.

Crystal structure
```
data_Sr6PRh
_chemical_formula_sum 'Sr12 P2 Rh2'
_cell_length_a 7.4938
_cell_length_b 8.2204
_cell_length_c 13.6433
_cell_angle_alpha 90.00
_cell_angle_beta 123.32
_cell_angle_gamma 90.00
_symmetry_space_group_name_H-M 'P 1 21/c 1'
_symmetry_Int_Tables_number 14
_symmetry_space_group_name_Hall '-P 2ybc'
loop_
_atom_site_label
_atom_site_type_symbol
_atom_site_fract_x
_atom_site_fract_y
_atom_site_fract_z
_atom_site_occupancy
Sr1 Sr 0.1048 0.0468 0.2484 1
Sr2 Sr 0.2398 0.6886 0.0690 1
Sr3 Sr 0.3927 0.1831 0.0677 1
P1 P 0.5000 0.0000 0.5000 1
Rh1 Rh 0.0000 0.0000 0.0000 1
```

Main lines, in order of falling intensity (2θ from 5° to 70°):
26.3 deg, rel. 100, hkl 1 0 -4; 16.0 deg, rel. 54, hkl 1 1 -1; 26.1 deg, rel. 52, hkl 2 1 -2; 25.9 deg, rel. 49, hkl 1 2 0; 27.3 deg, rel. 46, hkl 2 1 -1; 40.9 deg, rel. 44, hkl 3 1 -1; 29.3 deg, rel. 39, hkl 1 2 1; 47.6 deg, rel. 35, hkl 2 3 -5; 15.5 deg, rel. 34, hkl 0 0 2; 35.4 deg, rel. 33, hkl 1 1 -5

Structure and theoretical powder XRD pattern of Ta2PRh (a cell relaxed with GGA-PBE; CuKα).
Peak positions follow from Bragg's law for the DFT cell and can differ from measured ones.

Crystal structure
```
data_Ta2PRh
_chemical_formula_sum 'Ta2 P1 Rh1'
_cell_length_a 2.9110
_cell_length_b 3.2506
_cell_length_c 6.7352
_cell_angle_alpha 90.00
_cell_angle_beta 98.10
_cell_angle_gamma 90.00
_symmetry_space_group_name_H-M 'P 1 2/m 1'
_symmetry_Int_Tables_number 10
_symmetry_space_group_name_Hall '-P 2y'
loop_
_atom_site_label
_atom_site_type_symbol
_atom_site_fract_x
_atom_site_fract_y
_atom_site_fract_z
_atom_site_occupancy
Ta1 Ta 0.0830 0.0000 0.2678 1
P1 P 0.5000 0.5000 0.5000 1
Rh1 Rh 0.5000 0.5000 0.0000 1
```

Main lines, in order of falling intensity (2θ from 5° to 70°):
38.7 deg, rel. 100, hkl 0 1 2; 41.9 deg, rel. 68, hkl 1 1 0; 38.3 deg, rel. 50, hkl 1 0 -2; 27.4 deg, rel. 25, hkl 0 1 0; 26.7 deg, rel. 24, hkl 0 0 2; 44.3 deg, rel. 23, hkl 1 0 2; 35.6 deg, rel. 22, hkl 1 0 1; 67.3 deg, rel. 20, hkl 1 1 -4; 56.6 deg, rel. 17, hkl 0 2 0; 55.1 deg, rel. 16, hkl 0 0 4

Structure and theoretical powder XRD pattern of TaP2Rh (a cell relaxed with GGA-PBE; CuKα).
Peak positions follow from Bragg's law for the DFT cell and can differ from measured ones.

Crystal structure
```
data_TaP2Rh
_chemical_formula_sum 'Ta4 P8 Rh4'
_cell_length_a 6.0910
_cell_length_b 6.0910
_cell_length_c 6.0910
_cell_angle_alpha 90.00
_cell_angle_beta 90.00
_cell_angle_gamma 90.00
_symmetry_space_group_name_H-M 'F m -3 m'
_symmetry_Int_Tables_number 225
_symmetry_space_group_name_Hall '-F 4 2 3'
loop_
_atom_site_label
_atom_site_type_symbol
_atom_site_fract_x
_atom_site_fract_y
_atom_site_fract_z
_atom_site_occupancy
Ta1 Ta 0.0000 0.0000 0.0000 1
P1 P 0.2500 0.2500 0.2500 1
Rh1 Rh 0.0000 0.0000 0.5000 1
```

Main lines, in order of falling intensity (2θ from 5° to 70°):
42.0 deg, rel. 100, hkl 2 2 0; 29.3 deg, rel. 55, hkl 2 0 0; 68.9 deg, rel. 20, hkl 4 2 0; 60.8 deg, rel. 16, hkl 4 0 0; 52.0 deg, rel. 15, hkl 2 2 2; 25.3 deg, rel. 11, hkl 1 1 1; 49.6 deg, rel. 6, hkl 3 1 1; 67.0 deg, rel. 2, hkl 3 3 1